The following is a calculated X-ray powder pattern of LiHo12Ni6. It was derived from a crystal structure in Alexandria, relaxed with PBE, using Cu Ka.

The 12 most intense peaks (10 to 80 degrees two-theta), by intensity:
2θ = 34.6°, I 100
2θ = 29.1°, I 47
2θ = 55.3°, I 38
2θ = 58.7°, I 34
2θ = 32.0°, I 34
2θ = 47.9°, I 20
2θ = 26.0°, I 16
2θ = 68.4°, I 16
2θ = 57.0°, I 15
2θ = 12.9°, I 14
2θ = 39.4°, I 13
2θ = 37.1°, I 12

```
data_LiHo12Ni6
_chemical_formula_sum 'Li2 Ho24 Ni12'
_space_group_name_H-M_alt 'I m -3'
_space_group_IT_number 204
_space_group_name_Hall '-I 2 2 3'
_cell_length_a 9.6921
_cell_length_b 9.6921
_cell_length_c 9.6921
_cell_angle_alpha 90.00
_cell_angle_beta 90.00
_cell_angle_gamma 90.00
loop_
_atom_site_label
_atom_site_type_symbol
_atom_site_fract_x
_atom_site_fract_y
_atom_site_fract_z
Li1 Li 0.0000 0.0000 0.0000
Ho1 Ho 0.0000 0.3064 0.1872
Ni1 Ni 0.0000 0.1239 0.5000
```

The following is a calculated X-ray powder pattern of Cs2SiWBr6. It was derived from a crystal structure in Alexandria, relaxed with PBE, using Cu Ka.

The 12 most intense peaks (10 to 80 degrees two-theta), by intensity:
2θ = 32.5°, I 100
2θ = 28.0°, I 95
2θ = 22.8°, I 75
2θ = 46.5°, I 72
2θ = 32.3°, I 51
2θ = 13.9°, I 50
2θ = 57.9°, I 37
2θ = 46.7°, I 36
2θ = 55.3°, I 26
2θ = 40.1°, I 23
2θ = 77.1°, I 16
2θ = 77.4°, I 16

```
data_Cs2SiWBr6
_chemical_formula_sum 'Cs4 Si2 W2 Br12'
_space_group_name_H-M_alt 'I 4/m m m'
_space_group_IT_number 139
_space_group_name_Hall '-I 4 2'
_cell_length_a 7.7856
_cell_length_b 7.7856
_cell_length_c 11.0847
_cell_angle_alpha 90.00
_cell_angle_beta 90.00
_cell_angle_gamma 90.00
loop_
_atom_site_label
_atom_site_type_symbol
_atom_site_fract_x
_atom_site_fract_y
_atom_site_fract_z
Cs1 Cs 0.0000 0.5000 0.2500
Si1 Si 0.0000 0.0000 0.0000
W1 W 0.0000 0.0000 0.5000
Br1 Br 0.0000 0.0000 0.2591
Br2 Br 0.2420 0.2420 0.5000
```

The following is a calculated X-ray powder pattern of PaCoAs3. It was derived from a crystal structure in Alexandria, relaxed with PBE, using Cu Ka.

The 12 most intense peaks (10 to 80 degrees two-theta), by intensity:
2θ = 35.0°, I 100
2θ = 38.3°, I 94
2θ = 47.8°, I 59
2θ = 34.7°, I 53
2θ = 31.9°, I 53
2θ = 27.0°, I 41
2θ = 22.1°, I 36
2θ = 58.8°, I 24
2θ = 67.4°, I 22
2θ = 38.9°, I 21
2θ = 61.1°, I 21
2θ = 35.6°, I 20

```
data_PaCoAs3
_chemical_formula_sum 'Pa2 Co2 As6'
_space_group_name_H-M_alt 'P m n 21'
_space_group_IT_number 31
_cell_length_a 5.7836
_cell_length_b 5.7589
_cell_length_c 5.6176
_cell_angle_alpha 90.00
_cell_angle_beta 90.00
_cell_angle_gamma 90.00
loop_
_space_group_symop_operation_xyz
'x,y,z'
'-x+1/2,-y,z+1/2'
'-x,y,z'
'x+1/2,-y,z+1/2'
loop_
_atom_site_label
_atom_site_type_symbol
_atom_site_fract_x
_atom_site_fract_y
_atom_site_fract_z
Pa1 Pa 0.0000 0.1194 0.0000
Co1 Co 0.0000 0.5895 0.2739
As1 As 0.0000 0.8953 0.5334
As2 As 0.2268 0.3356 0.4916
```

The following is a calculated X-ray powder pattern of Ba3Tl4Bi2Pb2. It was derived from a crystal structure in Alexandria, relaxed with PBE, using Cu Ka.

The 12 most intense peaks (10 to 80 degrees two-theta), by intensity:
2θ = 27.1°, I 100
2θ = 33.3°, I 95
2θ = 35.2°, I 82
2θ = 29.8°, I 43
2θ = 61.9°, I 36
2θ = 30.4°, I 32
2θ = 50.6°, I 30
2θ = 58.3°, I 29
2θ = 17.6°, I 24
2θ = 11.0°, I 20
2θ = 47.2°, I 19
2θ = 53.5°, I 15

```
data_Ba3Tl4Bi2Pb2
_chemical_formula_sum 'Ba6 Tl8 Bi4 Pb4'
_space_group_name_H-M_alt 'I 4/m m m'
_space_group_IT_number 139
_space_group_name_Hall '-I 4 2'
_cell_length_a 5.1009
_cell_length_b 5.1009
_cell_length_c 32.3160
_cell_angle_alpha 90.00
_cell_angle_beta 90.00
_cell_angle_gamma 90.00
loop_
_atom_site_label
_atom_site_type_symbol
_atom_site_fract_x
_atom_site_fract_y
_atom_site_fract_z
Ba1 Ba 0.0000 0.0000 0.0000
Ba2 Ba 0.0000 0.0000 0.2007
Tl1 Tl 0.0000 0.5000 0.1117
Bi1 Bi 0.0000 0.0000 0.3135
Pb1 Pb 0.0000 0.0000 0.4551
```

The following is a calculated X-ray powder pattern of Ba3MgAu2. It was derived from a crystal structure in Alexandria, relaxed with PBE, using Cu Ka.

The 12 most intense peaks (10 to 80 degrees two-theta), by intensity:
2θ = 20.4°, I 100
2θ = 32.4°, I 95
2θ = 26.6°, I 63
2θ = 19.4°, I 46
2θ = 37.3°, I 39
2θ = 34.8°, I 38
2θ = 31.8°, I 31
2θ = 42.4°, I 31
2θ = 38.3°, I 28
2θ = 29.9°, I 27
2θ = 56.6°, I 25
2θ = 27.7°, I 24

```
data_Ba3MgAu2
_chemical_formula_sum 'Ba24 Mg8 Au16'
_space_group_name_H-M_alt 'C m c e'
_space_group_IT_number 64
_space_group_name_Hall '-C 2ac 2'
_cell_length_a 10.3254
_cell_length_b 16.2971
_cell_length_c 11.0241
_cell_angle_alpha 90.00
_cell_angle_beta 90.00
_cell_angle_gamma 90.00
loop_
_atom_site_label
_atom_site_type_symbol
_atom_site_fract_x
_atom_site_fract_y
_atom_site_fract_z
Ba1 Ba 0.0000 0.1635 0.2201
Ba2 Ba 0.2073 0.1232 0.5429
Mg1 Mg 0.0000 0.0492 0.8234
Au1 Au 0.0000 0.2085 0.9386
Au2 Au 0.2500 0.0254 0.2500
```

The following is a calculated X-ray powder pattern of K2TlGaBi2. It was derived from a crystal structure in Alexandria, relaxed with PBE, using Cu Ka.

The 12 most intense peaks (10 to 80 degrees two-theta), by intensity:
2θ = 11.2°, I 100
2θ = 20.0°, I 78
2θ = 33.5°, I 64
2θ = 33.0°, I 53
2θ = 32.6°, I 50
2θ = 28.1°, I 36
2θ = 35.4°, I 26
2θ = 49.1°, I 22
2θ = 41.9°, I 18
2θ = 41.6°, I 18
2θ = 59.8°, I 18
2θ = 27.1°, I 15

```
data_K2TlGaBi2
_chemical_formula_sum 'K8 Tl4 Ga4 Bi8'
_space_group_name_H-M_alt 'I b a m'
_space_group_IT_number 72
_space_group_name_Hall '-I 2 2c'
_cell_length_a 7.6418
_cell_length_b 15.8087
_cell_length_c 7.4842
_cell_angle_alpha 90.00
_cell_angle_beta 90.00
_cell_angle_gamma 90.00
loop_
_atom_site_label
_atom_site_type_symbol
_atom_site_fract_x
_atom_site_fract_y
_atom_site_fract_z
K1 K 0.2457 0.1629 0.0000
Tl1 Tl 0.0000 0.0000 0.2500
Ga1 Ga 0.0000 0.5000 0.2500
Bi1 Bi 0.2162 0.4002 0.0000
```

The following is a calculated X-ray powder pattern of GeHIr. It was derived from a crystal structure in Alexandria, relaxed with PBE, using Cu Ka.

The 12 most intense peaks (10 to 80 degrees two-theta), by intensity:
2θ = 38.7°, I 100
2θ = 28.1°, I 59
2θ = 47.5°, I 53
2θ = 25.0°, I 46
2θ = 39.6°, I 38
2θ = 31.5°, I 35
2θ = 46.4°, I 33
2θ = 45.4°, I 30
2θ = 74.8°, I 23
2θ = 46.9°, I 22
2θ = 23.1°, I 18
2θ = 50.5°, I 18

```
data_GeHIr
_chemical_formula_sum 'Ge4 H4 Ir4'
_space_group_name_H-M_alt 'C 1 2/m 1'
_space_group_IT_number 12
_cell_length_a 12.8641
_cell_length_b 2.9164
_cell_length_c 3.9103
_cell_angle_alpha 90.00
_cell_angle_beta 99.38
_cell_angle_gamma 90.00
loop_
_space_group_symop_operation_xyz
'x,y,z'
'-x,-y,-z'
'-x,y,-z'
'x,-y,z'
'x+1/2,y+1/2,z'
'-x+1/2,-y+1/2,-z'
'-x+1/2,y+1/2,-z'
'x+1/2,-y+1/2,z'
loop_
_atom_site_label
_atom_site_type_symbol
_atom_site_fract_x
_atom_site_fract_y
_atom_site_fract_z
Ge1 Ge 0.1818 0.0000 0.2019
H1 H 0.0347 0.0000 0.7456
Ir1 Ir 0.1074 0.5000 0.6600
```

The following is a calculated X-ray powder pattern of YPa2PbO8. It was derived from a crystal structure in Alexandria, relaxed with PBE, using Cu Ka.

The 12 most intense peaks (10 to 80 degrees two-theta), by intensity:
2θ = 28.4°, I 100
2θ = 47.2°, I 34
2θ = 55.9°, I 31
2θ = 32.8°, I 23
2θ = 47.1°, I 17
2θ = 56.1°, I 15
2θ = 76.2°, I 13
2θ = 33.0°, I 11
2θ = 58.7°, I 10
2θ = 18.2°, I 10
2θ = 78.3°, I 9
2θ = 76.0°, I 6

```
data_YPa2PbO8
_chemical_formula_sum 'Y2 Pa4 Pb2 O16'
_space_group_name_H-M_alt 'I -4 m 2'
_space_group_IT_number 119
_space_group_name_Hall 'I -4 -2'
_cell_length_a 5.4614
_cell_length_b 5.4614
_cell_length_c 10.8663
_cell_angle_alpha 90.00
_cell_angle_beta 90.00
_cell_angle_gamma 90.00
loop_
_atom_site_label
_atom_site_type_symbol
_atom_site_fract_x
_atom_site_fract_y
_atom_site_fract_z
Y1 Y 0.0000 0.0000 0.0000
Pa1 Pa 0.0000 0.0000 0.5000
Pa2 Pa 0.0000 0.5000 0.7500
Pb1 Pb 0.0000 0.5000 0.2500
O1 O 0.2339 0.2546 0.6230
```